Entry 1:
Calculated XRD peak list of V6FeRu2 for a wavelength of 1.5418 Å, from a structure optimized by DFT (GGA-PBE).
Peak positions follow from Bragg's law for the DFT cell and can differ from measured ones.

Main lines, low angle first (2θ from 5° to 70°):
2θ (°)	intensity
26.59	445
27.57	487
43.84	274
44.89	1000
46.35	224
52.58	154
52.74	89
54.23	119
65.01	75
65.63	73

Atomic structure:
Unit cell a=6.855 b=6.855 c=4.130 alpha=107.43 beta=107.43 gamma=49.49
Fractional coordinates of all 9 atoms:
V  0.091  0.592  0.342
V  0.230  0.770  0.000
V  0.408  0.909  0.658
V  0.592  0.091  0.342
V  0.770  0.230  0.000
V  0.909  0.408  0.658
Fe  0.000  0.000  0.500
Ru  0.332  0.332  0.832
Ru  0.668  0.668  0.168

Entry 2:
Calculated XRD peak list of Ca5Sn2Au12 for a wavelength of 1.5418 Å, from a structure optimized by DFT (GGA-PBE).
Peak positions follow from Bragg's law for the DFT cell and can differ from measured ones.

Main lines, low angle first (2θ from 5° to 70°):
2θ (°)	intensity
20.34	283
22.17	703
32.32	262
33.28	471
34.75	1000
36.97	841
38.27	345
38.40	339
39.82	479
41.43	412

Atomic structure:
Unit cell a=8.870 b=8.870 c=7.014 alpha=91.72 beta=91.72 gamma=50.50
Fractional coordinates of all 19 atoms:
Ca  0.000  0.000  0.000
Ca  0.246  0.246  0.938
Ca  0.305  0.305  0.456
Ca  0.695  0.695  0.544
Ca  0.754  0.754  0.062
Sn  0.271  0.729  0.500
Sn  0.729  0.271  0.500
Au  0.032  0.663  0.746
Au  0.118  0.118  0.616
Au  0.197  0.588  0.139
Au  0.337  0.968  0.254
Au  0.412  0.803  0.861
Au  0.441  0.441  0.799
Au  0.559  0.559  0.201
Au  0.588  0.197  0.139
Au  0.663  0.032  0.746
Au  0.803  0.412  0.861
Au  0.882  0.882  0.384
Au  0.968  0.337  0.254

Entry 3:
Calculated XRD peak list of U2Al19Co6 for a wavelength of 1.5418 Å, from a structure optimized by DFT (GGA-PBE).
Peak positions follow from Bragg's law for the DFT cell and can differ from measured ones.

Main lines, low angle first (2θ from 5° to 70°):
2θ (°)	intensity
9.02	566
10.41	749
18.10	581
22.44	1000
25.69	593
27.28	479
30.79	463
30.96	473
37.62	881
44.49	547

Atomic structure:
Unit cell a=10.612 b=10.612 c=8.146 alpha=101.42 beta=101.42 gamma=68.84
Fractional coordinates of all 54 atoms:
U  0.218  0.218  0.224
U  0.218  0.218  0.746
U  0.782  0.782  0.254
U  0.782  0.782  0.776
Al  0.003  0.502  0.240
Al  0.016  0.685  0.551
Al  0.033  0.685  0.054
Al  0.063  0.828  0.352
Al  0.066  0.829  0.845
Al  0.171  0.934  0.155
Al  0.172  0.937  0.648
Al  0.201  0.431  0.533
Al  0.221  0.445  0.046
Al  0.300  0.646  0.637
Al  0.315  0.967  0.946
Al  0.315  0.984  0.449
Al  0.333  0.667  0.000
Al  0.354  0.700  0.363
Al  0.410  0.410  0.815
Al  0.417  0.417  0.355
Al  0.431  0.201  0.533
Al  0.445  0.221  0.046
Al  0.498  0.997  0.760
Al  0.502  0.003  0.240
Al  0.555  0.779  0.954
Al  0.569  0.799  0.467
Al  0.583  0.583  0.645
Al  0.590  0.590  0.185
Al  0.646  0.300  0.637
Al  0.667  0.333  0.000
Al  0.685  0.016  0.551
Al  0.685  0.033  0.054
Al  0.700  0.354  0.363
Al  0.779  0.555  0.954
Al  0.799  0.569  0.467
Al  0.828  0.063  0.352
Al  0.829  0.066  0.845
Al  0.934  0.171  0.155
Al  0.937  0.172  0.648
Al  0.967  0.315  0.946
Al  0.984  0.315  0.449
Al  0.997  0.498  0.760
Co  0.061  0.061  0.405
Co  0.064  0.064  0.908
Co  0.179  0.579  0.811
Co  0.186  0.582  0.330
Co  0.418  0.814  0.670
Co  0.421  0.821  0.189
Co  0.579  0.179  0.811
Co  0.582  0.186  0.330
Co  0.814  0.418  0.670
Co  0.821  0.421  0.189
Co  0.936  0.936  0.092
Co  0.939  0.939  0.595

Entry 4:
Calculated XRD peak list of ZrV2Pt6 for a wavelength of 1.5418 Å, from a structure optimized by DFT (GGA-PBE).
Peak positions follow from Bragg's law for the DFT cell and can differ from measured ones.

Main lines, low angle first (2θ from 5° to 70°):
2θ (°)	intensity
15.34	171
26.84	237
27.63	164
35.52	915
38.82	1000
41.27	242
46.66	322
47.51	206
47.86	204
57.64	141

Atomic structure:
Unit cell a=3.894 b=6.644 c=6.644 alpha=119.58 beta=90.00 gamma=90.00
Fractional coordinates of all 9 atoms:
Zr  0.000  0.000  0.000
V  0.500  0.202  0.468
V  0.500  0.468  0.202
Pt  0.000  0.410  0.410
Pt  0.000  0.483  0.868
Pt  0.000  0.868  0.483
Pt  0.500  0.147  0.805
Pt  0.500  0.687  0.687
Pt  0.500  0.805  0.147

Entry 5:
Calculated XRD peak list of PmTmThPb for a wavelength of 1.5418 Å, from a structure optimized by DFT (GGA-PBE).
Peak positions follow from Bragg's law for the DFT cell and can differ from measured ones.

Main lines, low angle first (2θ from 5° to 70°):
2θ (°)	intensity
22.80	26
32.47	1000
40.04	9
46.57	186
52.46	13
57.92	393
67.98	122

Atomic structure:
Unit cell a=5.516 b=5.516 c=5.516 alpha=60.00 beta=60.00 gamma=60.00
Fractional coordinates of all 4 atoms:
Pm  0.000  0.000  0.000
Tm  0.500  0.500  0.500
Th  0.250  0.250  0.250
Pb  0.750  0.750  0.750